Theoretical powder X-ray diffraction pattern
Compound: Nd8HgIr3I4
Radiation: Cu Kα, 1.54184 Å
Structure: the PBE geometry in Alexandria

Structural model:
```
data_Nd8HgIr3I4
_cell_length_a 8.5736
_cell_length_b 8.5736
_cell_length_c 24.3260
_cell_angle_alpha 90.00
_cell_angle_beta 90.00
_cell_angle_gamma 120.00
_symmetry_space_group_name_H-M 'R -3 m'
_symmetry_Int_Tables_number 166
_symmetry_space_group_name_Hall '-R 3 2"'
loop_
_atom_site_label
_atom_site_type_symbol
_atom_site_fract_x
_atom_site_fract_y
_atom_site_fract_z
_atom_site_occupancy
Nd1 Nd 0.0000 0.0000 0.2289 1
Nd2 Nd 0.0221 0.5110 0.7706 1
Hg1 Hg 0.0000 0.0000 0.5000 1
Ir1 Ir 0.0000 0.5000 0.5000 1
I1 I 0.0000 0.0000 0.0000 1
I2 I 0.0000 0.5000 0.0000 1
```

Main lines, in order of falling intensity (5° ≤ 2θ ≤ 70°):
d_spacing  2θ (°)  I/Imax  index
3.169  28.2  1000  0 2 4
2.143  42.2  374  2 2 0
2.352  38.3  296  2 0 8
8.109  10.9  273  0 0 3
1.775  51.5  183  4 0 4
1.367  68.6  148  2 4 4
2.537  35.4  147  0 2 7
1.900  47.9  91  2 0 11
1.584  58.2  84  0 4 8
1.473  63.1  66  2 2 12



Theoretical powder X-ray diffraction pattern
Compound: Ho2Ge5Rh3
Radiation: Cu Kα, 1.54184 Å
Structure: the PBE geometry in Alexandria

Structural model:
```
data_Ho2Ge5Rh3
_cell_length_a 4.221
_cell_length_b 24.637
_cell_length_c 6.825
_cell_angle_alpha 90.00
_cell_angle_beta 90.00
_cell_angle_gamma 90.00
_symmetry_space_group_name_H-M 'C m c 21'
_symmetry_Int_Tables_number 36
_symmetry_space_group_name_Hall 'C 2c -2'
loop_
_atom_site_label
_atom_site_type_symbol
_atom_site_fract_x
_atom_site_fract_y
_atom_site_fract_z
_atom_site_occupancy
Ho1 Ho 0.000 0.021 0.000 1
Ho2 Ho 0.000 0.325 0.997 1
Ge1 Ge 0.000 0.100 0.362 1
Ge2 Ge 0.000 0.207 0.792 1
Ge3 Ge 0.000 0.208 0.217 1
Ge4 Ge 0.000 0.382 0.476 1
Ge5 Ge 0.000 0.452 0.165 1
Rh1 Rh 0.000 0.107 0.731 1
Rh2 Rh 0.000 0.279 0.505 1
Rh3 Rh 0.000 0.446 0.782 1
```

Main lines, in order of falling intensity (5° ≤ 2θ ≤ 70°):
d_spacing  2θ (°)  I/Imax  index
2.525  35.6  1000  1 3 2
2.513  35.7  640  1 7 1
2.111  42.8  392  2 0 0
2.317  38.9  255  0 10 1
2.297  39.2  210  1 9 0
1.377  68.1  184  1 13 3
2.134  42.4  158  0 4 3
2.624  34.2  151  0 6 2
1.560  59.2  148  2 10 1
1.501  61.8  134  2 4 3



Theoretical powder X-ray diffraction pattern
Compound: Li6MnBr8
Radiation: Cu Kα, 1.54184 Å
Structure: the PBE geometry in Alexandria

Structural model:
```
data_Li6MnBr8
_cell_length_a 11.054
_cell_length_b 11.054
_cell_length_c 11.054
_cell_angle_alpha 90.00
_cell_angle_beta 90.00
_cell_angle_gamma 90.00
_symmetry_space_group_name_H-M 'F m -3 m'
_symmetry_Int_Tables_number 225
_symmetry_space_group_name_Hall '-F 4 2 3'
loop_
_atom_site_label
_atom_site_type_symbol
_atom_site_fract_x
_atom_site_fract_y
_atom_site_fract_z
_atom_site_occupancy
Li1 Li 0.000 0.250 0.250 1
Mn1 Mn 0.000 0.000 0.000 1
Br1 Br 0.000 0.000 0.244 1
Br2 Br 0.250 0.250 0.250 1
```

Main lines, in order of falling intensity (5° ≤ 2θ ≤ 70°):
d_spacing  2θ (°)  I/Imax  index
3.191  28.0  1000  2 2 2
2.763  32.4  864  4 0 0
1.954  46.5  609  4 4 0
1.666  55.1  425  6 2 2
1.595  57.8  208  4 4 4
6.382  13.9  99  1 1 1
1.382  67.8  95  8 0 0
2.127  42.5  30  5 1 1
3.333  26.7  26  3 1 1
1.868  48.7  21  5 3 1



Theoretical powder X-ray diffraction pattern
Compound: Na14Al2Se9
Radiation: Cu Kα, 1.54184 Å
Structure: the PBE geometry in Alexandria

Structural model:
```
data_Na14Al2Se9
_cell_length_a 8.3782
_cell_length_b 8.3782
_cell_length_c 11.4214
_cell_angle_alpha 90.00
_cell_angle_beta 90.00
_cell_angle_gamma 120.00
_symmetry_space_group_name_H-M 'P -3'
_symmetry_Int_Tables_number 147
_symmetry_space_group_name_Hall '-P 3'
loop_
_atom_site_label
_atom_site_type_symbol
_atom_site_fract_x
_atom_site_fract_y
_atom_site_fract_z
_atom_site_occupancy
Na1 Na 0.0000 0.0000 0.2466 1
Na2 Na 0.0356 0.6786 0.4067 1
Na3 Na 0.0901 0.4068 0.1023 1
Al1 Al 0.3333 0.6667 0.7662 1
Se1 Se 0.0000 0.0000 0.5000 1
Se2 Se 0.0911 0.3691 0.8405 1
Se3 Se 0.3333 0.6667 0.5511 1
```

Main lines, in order of falling intensity (5° ≤ 2θ ≤ 70°):
d_spacing  2θ (°)  I/Imax  index
3.933  22.6  1000  2 -1 1
2.359  38.1  496  2 -1 4
6.124  14.5  458  0 1 1
3.807  23.4  430  0 0 3
2.419  37.2  394  3 0 0
2.667  33.6  300  3 -1 1
2.225  40.5  296  1 2 3
1.980  45.8  266  3 1 1
2.742  32.7  259  1 2 0
3.062  29.2  240  2 0 2



Theoretical powder X-ray diffraction pattern
Compound: SrSe2N2
Radiation: Cu Kα, 1.54184 Å
Structure: the PBE geometry in Alexandria

Structural model:
```
data_SrSe2N2
_cell_length_a 4.183
_cell_length_b 4.183
_cell_length_c 5.263
_cell_angle_alpha 90.00
_cell_angle_beta 90.00
_cell_angle_gamma 90.00
_symmetry_space_group_name_H-M 'P 4/m m m'
_symmetry_Int_Tables_number 123
_symmetry_space_group_name_Hall '-P 4 2'
loop_
_atom_site_label
_atom_site_type_symbol
_atom_site_fract_x
_atom_site_fract_y
_atom_site_fract_z
_atom_site_occupancy
Sr1 Sr 0.000 0.000 0.000 1
Se1 Se 0.500 0.500 0.000 1
Se2 Se 0.500 0.500 0.500 1
N1 N 0.000 0.500 0.500 1
```

Main lines, in order of falling intensity (5° ≤ 2θ ≤ 70°):
d_spacing  2θ (°)  I/Imax  index
2.958  30.2  1000  1 1 0
1.966  46.2  631  1 1 2
2.632  34.1  570  0 0 2
2.091  43.3  569  2 0 0
1.637  56.2  508  2 0 2
3.275  27.2  424  1 0 1
2.578  34.8  380  1 1 1
4.183  21.2  264  1 0 0
1.479  62.8  179  2 2 0
1.763  51.9  139  2 1 1



Theoretical powder X-ray diffraction pattern
Compound: PuTlCdIn
Radiation: Cu Kα, 1.54184 Å
Structure: the PBE geometry in Alexandria

Structural model:
```
data_PuTlCdIn
_cell_length_a 4.403
_cell_length_b 4.867
_cell_length_c 4.883
_cell_angle_alpha 90.00
_cell_angle_beta 90.00
_cell_angle_gamma 90.00
_symmetry_space_group_name_H-M 'P m m m'
_symmetry_Int_Tables_number 47
_symmetry_space_group_name_Hall '-P 2 2'
loop_
_atom_site_label
_atom_site_type_symbol
_atom_site_fract_x
_atom_site_fract_y
_atom_site_fract_z
_atom_site_occupancy
Pu1 Pu 0.000 0.000 0.000 1
Tl1 Tl 0.500 0.500 0.000 1
Cd1 Cd 0.000 0.500 0.500 1
In1 In 0.500 0.000 0.500 1
```

Main lines, in order of falling intensity (5° ≤ 2θ ≤ 70°):
d_spacing  2θ (°)  I/Imax  index
2.714  33.0  1000  1 1 1
1.634  56.3  219  2 2 0
2.441  36.8  187  0 0 2
2.434  36.9  185  0 2 0
1.457  63.9  150  1 1 3
1.453  64.1  148  1 3 1
2.202  41.0  139  2 0 0
1.724  53.1  130  0 2 2
1.357  69.2  118  2 2 2
1.350  69.6  116  3 1 1